No. 1
Starting from a DFT-relaxed cell (GGA-PBE, Alexandria), the powder XRD pattern of In3HgS6 was calculated for Cu Kα.
Peak positions follow from Bragg's law for the DFT cell and can differ from measured ones.

Structural model:
```
data_In3HgS6
_symmetry_space_group_name_H-M 'R -3'
_symmetry_Int_Tables_number 148
_symmetry_space_group_name_Hall '-R 3'
_cell_length_a 11.1248
_cell_length_b 11.1248
_cell_length_c 13.4457
_cell_angle_alpha 90.00
_cell_angle_beta 90.00
_cell_angle_gamma 120.00
loop_
_atom_site_label
_atom_site_type_symbol
_atom_site_fract_x
_atom_site_fract_y
_atom_site_fract_z
In1 In 0.0504 0.2700 0.2089
Hg1 Hg 0.0000 0.0000 0.0000
Hg2 Hg 0.0000 0.0000 0.5000
S1 S 0.0184 0.2155 0.3983
S2 S 0.0230 0.1906 0.8704
```

Most intense lines, 10 to 90 degrees two-theta, sorted by position:
d/Å	Rel. int.	hkl
5.513	24	0 1 2
4.482	32	0 0 3
3.916	55	2 0 2
3.515	62	2 1 1
3.204	100	3 -2 2
2.483	41	3 1 2
2.470	55	2 1 4
2.102	65	1 4 0
2.092	27	1 3 4
2.079	32	2 -1 6

***

No. 2
Starting from a DFT-relaxed cell (GGA-PBE, Alexandria), the powder XRD pattern of InHgS6 was calculated for Cu Kα.
Peak positions follow from Bragg's law for the DFT cell and can differ from measured ones.

Structural model:
```
data_InHgS6
_symmetry_space_group_name_H-M 'P -1'
_symmetry_Int_Tables_number 2
_cell_length_a 3.9785
_cell_length_b 7.4837
_cell_length_c 7.5831
_cell_angle_alpha 108.59
_cell_angle_beta 95.95
_cell_angle_gamma 91.87
loop_
_symmetry_equiv_pos_as_xyz
'x,y,z'
'-x,-y,-z'
loop_
_atom_site_label
_atom_site_type_symbol
_atom_site_fract_x
_atom_site_fract_y
_atom_site_fract_z
In1 In 0.0000 0.0000 0.0000
Hg1 Hg 0.5000 0.5000 0.0000
S1 S 0.0602 0.6488 0.7675
S2 S 0.3128 0.7677 0.6036
S3 S 0.4720 0.0425 0.7727
```

Most intense lines, 10 to 90 degrees two-theta, sorted by position:
d/Å	Rel. int.	hkl
7.135	100	0 0 1
3.680	24	0 2 -1
3.538	22	0 2 0
3.383	23	1 1 -1
3.349	20	1 1 0
3.253	36	1 -1 1
3.115	17	-1 1 1
2.829	32	1 1 -2
2.826	32	0 2 1
2.589	23	1 -1 2

***

No. 3
Starting from a DFT-relaxed cell (GGA-PBE, Alexandria), the powder XRD pattern of In2HgSbS2 was calculated for Cu Kα.
Peak positions follow from Bragg's law for the DFT cell and can differ from measured ones.

Structural model:
```
data_In2HgSbS2
_symmetry_space_group_name_H-M 'C m c 21'
_symmetry_Int_Tables_number 36
_cell_length_a 14.7112
_cell_length_b 7.4831
_cell_length_c 6.4873
_cell_angle_alpha 90.00
_cell_angle_beta 90.00
_cell_angle_gamma 90.00
loop_
_symmetry_equiv_pos_as_xyz
'x,y,z'
'-x,-y,z+1/2'
'-x,y,z'
'x,-y,z+1/2'
'x+1/2,y+1/2,z'
'-x+1/2,-y+1/2,z+1/2'
'-x+1/2,y+1/2,z'
'x+1/2,-y+1/2,z+1/2'
loop_
_atom_site_label
_atom_site_type_symbol
_atom_site_fract_x
_atom_site_fract_y
_atom_site_fract_z
In1 In 0.1629 0.1598 0.0000
Hg1 Hg 0.0000 0.4350 0.5951
Sb1 Sb 0.0000 0.1900 0.2465
S1 S 0.1939 0.1695 0.6124
```

Most intense lines, 10 to 90 degrees two-theta, sorted by position:
d/Å	Rel. int.	hkl
7.356	51	2 0 0
4.102	100	3 1 0
3.467	91	3 1 1
3.242	99	0 0 2
2.967	66	2 0 2
2.544	66	3 1 2
2.459	32	1 3 0
2.452	55	6 0 0
2.432	37	4 0 2
1.955	37	6 2 1